For Eu2HCl2, a DFT-relaxed cell (GGA-PBE, the Materials Project) gives the computed powder diffractogram in this record (Cu Kα X-rays).
No peak broadening, texture or thermal motion is included.

Structure:
```
5
Lattice="5.7625 0.0000 0.0000 0.0000 5.7625 0.0000 0.0000 0.0000 13.6147" Properties=species:S:1:pos:R:3 pbc="T T T"
Eu 0.0000 0.0000 2.3461
Eu 0.0000 0.0000 11.2686
H 0.0000 0.0000 0.0000
Cl 0.0000 0.0000 4.8756
Cl 0.0000 0.0000 8.7391
```

Peak list (8 most intense, 5 to 70 degrees two-theta, in order of rising 2θ)
d 13.615, 2θ 6.49, intensity 18, hkl 0 0 1; d 6.807, 2θ 13.01, intensity 17, hkl 0 0 2; d 5.763, 2θ 15.38, intensity 100, hkl 1 0 0; d 4.398, 2θ 20.19, intensity 25, hkl 1 0 2; d 4.075, 2θ 21.81, intensity 44, hkl 1 1 0; d 3.565, 2θ 24.97, intensity 24, hkl 1 0 3; d 2.881, 2θ 31.04, intensity 18, hkl 2 0 0; d 2.577, 2θ 34.81, intensity 27, hkl 2 1 0


For Cd3As, a DFT-relaxed cell (GGA-PBE, the Materials Project) gives the computed powder diffractogram in this record (Cu Kα X-rays).
No peak broadening, texture or thermal motion is included.

Structure:
```
8
Lattice="4.5245 0.0000 0.0000 0.0000 4.5245 0.0000 0.0000 0.0000 8.7295" Properties=species:S:1:pos:R:3 pbc="T T T"
Cd 0.0000 0.0000 0.0000
Cd 0.0000 2.2623 2.1824
Cd 0.0000 2.2623 6.5471
Cd 2.2623 0.0000 2.1824
Cd 2.2623 0.0000 6.5471
Cd 2.2623 2.2623 4.3648
As 0.0000 0.0000 4.3648
As 2.2623 2.2623 0.0000
```

Peak list (8 most intense, 5 to 70 degrees two-theta, in order of rising 2θ)
d 4.365, 2θ 20.35, intensity 1, hkl 0 0 2; d 4.017, 2θ 22.13, intensity 2, hkl 1 0 1; d 2.580, 2θ 34.77, intensity 100, hkl 1 1 2; d 2.262, 2θ 39.85, intensity 34, hkl 2 0 0; d 2.182, 2θ 41.37, intensity 15, hkl 0 0 4; d 1.600, 2θ 57.62, intensity 11, hkl 2 2 0; d 1.571, 2θ 58.79, intensity 21, hkl 2 0 4; d 1.360, 2θ 69.09, intensity 25, hkl 3 1 2